Entry 1:
Simulated powder XRD pattern
Compound: Li9Mn2Co5O16
Radiation: a wavelength of 1.5418 Å
Structure: a DFT-relaxed cell (PBE+U, the Materials Project)
Lines closer than 0.1° are merged.

Largest 10 diffraction maxima, sorted by position, 15 to 90 degrees two-theta:
Position (°2θ)	d_spacing	Rel. int.
18.3	4.836	100
35.9	2.500	27
36.1	2.489	13
37.5	2.395	8
43.5	2.082	55
43.8	2.068	27
57.3	1.608	9
62.8	1.479	7
63.5	1.465	15
63.8	1.460	7

Structure:
```
Li9Mn2Co5O16
1.0
5.1322 0.0000 0.0000
0.0211 5.8562 0.0000
1.7404 0.0571 9.5456
Li Mn Co O
9 2 5 16
Direct
0.0000 0.0000 0.0000
0.0014 0.4974 0.9968
0.2504 0.2581 0.7508
0.2522 0.7411 0.7518
0.5022 0.5011 0.5046
0.5043 0.0038 0.5034
0.7496 0.7503 0.2527
0.7514 0.4979 0.7505
0.7543 0.2512 0.2505
0.0035 0.2553 0.5050
0.4978 0.2487 0.9969
0.2516 0.5040 0.2496
0.2528 0.9971 0.2520
0.5167 0.7443 0.9900
0.7515 0.0040 0.7510
0.9945 0.7499 0.5110
0.1252 0.4906 0.6159
0.1258 0.0164 0.6168
0.1435 0.7396 0.1324
0.1534 0.2465 0.1237
0.3495 0.2614 0.3746
0.3583 0.7542 0.3752
0.3776 0.0088 0.8856
0.3785 0.4875 0.8865
0.6006 0.0087 0.1231
0.6144 0.4847 0.1161
0.6569 0.7706 0.6275
0.6653 0.2404 0.6221
0.8371 0.2336 0.8780
0.8514 0.7629 0.8770
0.8887 0.4932 0.3860
0.9027 0.0146 0.3792
```

Entry 2:
Simulated powder XRD pattern
Compound: Nd2Mo8O45
Radiation: a wavelength of 1.5418 Å
Structure: a DFT-relaxed cell (PBE+U, the Materials Project)
Lines closer than 0.1° are merged.

Largest 10 diffraction maxima, sorted by position, 15 to 90 degrees two-theta:
Position (°2θ)	d_spacing	Rel. int.
20.0	4.446	81
22.2	4.009	63
22.5	3.949	63
22.8	3.907	73
24.9	3.571	89
25.3	3.514	100
27.6	3.236	59
28.3	3.157	54
29.8	3.002	55
30.9	2.891	81

Structure:
```
Nd2Mo8O45
1.0
9.4734 0.0000 0.0000
-0.2728 10.7846 0.0000
-3.1887 -1.6232 10.1854
Nd Mo O
2 8 45
Direct
0.1006 0.2073 0.2278
0.8994 0.7927 0.7722
0.1566 0.6432 0.0568
0.3271 0.4142 0.9066
0.3272 0.7350 0.8522
0.4429 0.4471 0.2465
0.5571 0.5529 0.7535
0.6728 0.2650 0.1478
0.6729 0.5858 0.0934
0.8434 0.3568 0.9432
0.0000 0.5000 0.0000
0.0021 0.0067 0.9433
0.0035 0.2831 0.0457
0.0900 0.4803 0.4196
0.0952 0.1274 0.5097
0.1447 0.7783 0.7650
0.1585 0.5855 0.4712
0.1654 0.6992 0.2158
0.1740 0.1041 0.6155
0.1749 0.3819 0.4166
0.2060 0.2834 0.8660
0.2096 0.5486 0.8615
0.2824 0.0424 0.2175
0.2934 0.5054 0.0956
0.2962 0.7566 0.0289
0.3146 0.3136 0.2366
0.3523 0.9640 0.2989
0.3782 0.6369 0.7054
0.4176 0.4009 0.7801
0.4317 0.5439 0.3824
0.4401 0.8679 0.8744
0.4525 0.9055 0.2661
0.4952 0.3787 0.0530
0.5048 0.6213 0.9470
0.5475 0.0945 0.7339
0.5599 0.1321 0.1256
0.5683 0.4561 0.6176
0.5824 0.5991 0.2199
0.6218 0.3631 0.2947
0.6477 0.0360 0.7011
0.6854 0.6864 0.7634
0.7038 0.2434 0.9711
0.7066 0.4946 0.9044
0.7176 0.9576 0.7825
0.7904 0.4514 0.1385
0.7940 0.7166 0.1340
0.8251 0.6181 0.5834
0.8260 0.8959 0.3845
0.8346 0.3008 0.7842
0.8415 0.4145 0.5288
0.8553 0.2217 0.2350
0.9048 0.8726 0.4903
0.9100 0.5197 0.5804
0.9965 0.7169 0.9543
0.9979 0.9933 0.0567
```

Entry 3:
Simulated powder XRD pattern
Compound: MnNb3O6
Radiation: a wavelength of 1.5418 Å
Structure: a DFT-relaxed cell (PBE+U, the Materials Project)
Lines closer than 0.1° are merged.

Largest 10 diffraction maxima, sorted by position, 15 to 90 degrees two-theta:
Position (°2θ)	d_spacing	Rel. int.
15.9	5.573	15
18.2	4.869	14
30.4	2.944	100
32.1	2.786	85
34.8	2.575	14
36.9	2.434	31
38.8	2.323	13
51.7	1.769	48
61.5	1.509	19
64.5	1.444	13

Structure:
```
MnNb3O6
1.0
-3.3131 3.5887 5.1504
3.3131 -3.5887 5.1504
3.3131 3.5887 -5.1504
Mn Nb O
2 6 12
Direct
0.0000 0.2471 0.2471
0.0000 0.7529 0.7529
0.0567 0.2777 0.7790
0.4988 0.2777 0.2210
0.5000 0.3018 0.8018
0.5000 0.6982 0.1982
0.5012 0.7223 0.7790
0.9433 0.7223 0.2210
0.1452 0.6452 0.5000
0.1504 0.1504 0.0000
0.1702 0.0891 0.5276
0.1702 0.6426 0.0811
0.4385 0.3574 0.5276
0.4385 0.9109 0.0811
0.5615 0.0891 0.9189
0.5615 0.6426 0.4724
0.8298 0.3574 0.9189
0.8298 0.9109 0.4724
0.8496 0.8496 0.0000
0.8548 0.3548 0.5000
```